Entry 1:
This entry pairs a crystal structure of AsS4N3 with its theoretical X-ray diffraction stick pattern. Radiation: Cu Kα (weighted mean of Kα1 and Kα2). Structure: the PBE geometry in the Materials Project.
Intensities are scaled so that the largest is 100.

a b c (Å): 6.8881 12.1474 9.9095
angles (deg): 90.00 90.09 90.00
Positions (direct):
1 As 0.2080 0.2500 0.0562
2 As 0.2918 0.7500 0.5667
3 As 0.7082 0.2500 0.4333
4 As 0.7920 0.7500 0.9438
5 S 0.0999 0.0247 0.5844
6 S 0.0999 0.4753 0.5844
7 S 0.1040 0.7500 0.8515
8 S 0.1866 0.2500 0.6341
9 S 0.3161 0.7500 0.1403
10 S 0.3957 0.2500 0.3412
11 S 0.4032 0.5247 0.0885
12 S 0.4032 0.9753 0.0885
13 S 0.5968 0.0247 0.9115
14 S 0.5968 0.4753 0.9115
15 S 0.6043 0.7500 0.6588
16 S 0.6839 0.2500 0.8597
17 S 0.8134 0.7500 0.3659
18 S 0.8960 0.2500 0.1485
19 S 0.9001 0.5247 0.4156
20 S 0.9001 0.9753 0.4156
21 N 0.0342 0.1472 0.6237
22 N 0.0342 0.3528 0.6237
23 N 0.1053 0.7500 0.6868
24 N 0.3946 0.2500 0.1764
25 N 0.4681 0.6472 0.1276
26 N 0.4681 0.8528 0.1276
27 N 0.5319 0.1472 0.8724
28 N 0.5319 0.3528 0.8724
29 N 0.6054 0.7500 0.8236
30 N 0.8947 0.2500 0.3132
31 N 0.9658 0.6472 0.3763
32 N 0.9658 0.8528 0.3763

Principal peaks in the range 2θ = 10–80°, by angle:
2θ (°)  intensity
14.6  100
15.7  41
21.5  55
22.1  88
23.3  69
27.4  29
29.4  60
30.9  29
35.0  33
37.1  30

Entry 2:
This entry pairs a crystal structure of Ca2SnS4 with its theoretical X-ray diffraction stick pattern. Radiation: Cu Kα (weighted mean of Kα1 and Kα2). Structure: the PBE geometry in the Materials Project.
Intensities are scaled so that the largest is 100.

a b c (Å): 7.9152 8.3265 11.0653
angles (deg): 90.00 111.88 90.00
Positions (direct):
1 Ca 0.0337 0.1876 0.3527
2 Ca 0.0337 0.3124 0.8527
3 Ca 0.4381 0.1264 0.1723
4 Ca 0.4381 0.3736 0.6723
5 Ca 0.5619 0.6264 0.3277
6 Ca 0.5619 0.8736 0.8277
7 Ca 0.9663 0.6876 0.1473
8 Ca 0.9663 0.8124 0.6473
9 Sn 0.3027 0.6814 0.9845
10 Sn 0.3027 0.8186 0.4845
11 Sn 0.6973 0.1814 0.5155
12 Sn 0.6973 0.3186 0.0155
13 S 0.0652 0.6265 0.4259
14 S 0.0652 0.8735 0.9259
15 S 0.2404 0.0280 0.6113
16 S 0.2404 0.4720 0.1113
17 S 0.2683 0.6072 0.7660
18 S 0.2683 0.8928 0.2660
19 S 0.4065 0.1873 0.9048
20 S 0.4065 0.3127 0.4048
21 S 0.5935 0.6873 0.5952
22 S 0.5935 0.8127 0.0952
23 S 0.7317 0.1072 0.7340
24 S 0.7317 0.3928 0.2340
25 S 0.7596 0.5280 0.8887
26 S 0.7596 0.9720 0.3887
27 S 0.9348 0.1265 0.0741
28 S 0.9348 0.3735 0.5741

Principal peaks in the range 2θ = 10–80°, by angle:
2θ (°)  intensity
16.1  86
17.3  32
26.8  39
27.4  31
27.6  48
30.7  27
31.2  100
34.2  75
34.5  26
47.2  26

Entry 3:
This entry pairs a crystal structure of Mg2NiW3S8 with its theoretical X-ray diffraction stick pattern. Radiation: Cu Kα (weighted mean of Kα1 and Kα2). Structure: the PBE geometry in the Materials Project.
Intensities are scaled so that the largest is 100.

a b c (Å): 7.4605 7.4605 7.4605
angles (deg): 54.97 54.97 54.97
Positions (direct):
1 Mg 0.1263 0.1263 0.1263
2 Mg 0.8737 0.8737 0.8737
3 Ni 0.5000 0.5000 0.5000
4 W 0.0000 0.5000 0.5000
5 W 0.5000 0.0000 0.5000
6 W 0.5000 0.5000 0.0000
7 S 0.2562 0.2562 0.2562
8 S 0.2692 0.2692 0.7101
9 S 0.2692 0.7101 0.2692
10 S 0.2899 0.7308 0.7308
11 S 0.7101 0.2692 0.2692
12 S 0.7308 0.2899 0.7308
13 S 0.7308 0.7308 0.2899
14 S 0.7438 0.7438 0.7438

Principal peaks in the range 2θ = 10–80°, by angle:
2θ (°)  intensity
14.0  95
15.6  71
29.6  38
30.3  60
31.5  26
35.6  100
38.4  23
45.3  23
49.1  49
53.2  37

Entry 4:
This entry pairs a crystal structure of RbReSO3 with its theoretical X-ray diffraction stick pattern. Radiation: Cu Kα (weighted mean of Kα1 and Kα2). Structure: the PBE geometry in the Materials Project.
Intensities are scaled so that the largest is 100.

a b c (Å): 9.4562 7.9919 8.4076
angles (deg): 90.00 115.90 90.00
Positions (direct):
1 Rb 0.1952 0.1328 0.4778
2 Rb 0.1952 0.3672 0.9778
3 Rb 0.8048 0.6328 0.0222
4 Rb 0.8048 0.8672 0.5222
5 Re 0.2263 0.6269 0.4969
6 Re 0.2263 0.8731 0.9969
7 Re 0.7737 0.1269 0.0031
8 Re 0.7737 0.3731 0.5031
9 S 0.4478 0.7410 0.1043
10 S 0.4478 0.7590 0.6043
11 S 0.5522 0.2410 0.3957
12 S 0.5522 0.2590 0.8957
13 O 0.0725 0.7261 0.9275
14 O 0.0725 0.7739 0.4275
15 O 0.2082 0.5046 0.3158
16 O 0.2082 0.9954 0.8158
17 O 0.2164 0.0064 0.1576
18 O 0.2164 0.4936 0.6576
19 O 0.7836 0.5064 0.3424
20 O 0.7836 0.9936 0.8424
21 O 0.7918 0.0046 0.1842
22 O 0.7918 0.4954 0.6842
23 O 0.9275 0.2261 0.5725
24 O 0.9275 0.2739 0.0725

Principal peaks in the range 2θ = 10–80°, by angle:
2θ (°)  intensity
15.2  37
16.1  29
20.9  65
23.5  63
23.7  58
25.2  100
29.3  68
36.4  31
39.6  33
51.8  28

Entry 5:
This entry pairs a crystal structure of Na2SO3 with its theoretical X-ray diffraction stick pattern. Radiation: Cu Kα (weighted mean of Kα1 and Kα2). Structure: the PBE geometry in the Materials Project.
Intensities are scaled so that the largest is 100.

a b c (Å): 5.5894 5.5894 7.1437
angles (deg): 90.00 90.00 116.15
Positions (direct):
1 Na 0.1708 0.8292 0.7500
2 Na 0.4486 0.4486 0.5000
3 Na 0.5514 0.5514 0.0000
4 Na 0.8292 0.1708 0.2500
5 S 0.1923 0.8077 0.2500
6 S 0.8077 0.1923 0.7500
7 O 0.0539 0.4070 0.6236
8 O 0.3544 0.6456 0.2500
9 O 0.4070 0.0539 0.3764
10 O 0.5930 0.9461 0.8764
11 O 0.6456 0.3544 0.7500
12 O 0.9461 0.5930 0.1236

Principal peaks in the range 2θ = 10–80°, by angle:
2θ (°)  intensity
18.7  54
21.6  100
24.9  40
30.2  35
30.7  79
31.3  74
32.1  67
44.1  47
57.1  29
60.6  30

Entry 6:
This entry pairs a crystal structure of CsSiTe3 with its theoretical X-ray diffraction stick pattern. Radiation: Cu Kα (weighted mean of Kα1 and Kα2). Structure: the PBE geometry in the Materials Project.
Intensities are scaled so that the largest is 100.

a b c (Å): 8.3594 8.3594 13.6817
angles (deg): 95.46 95.46 117.62
Positions (direct):
1 Cs 0.0895 0.9105 0.5000
2 Cs 0.1547 0.6538 0.2235
3 Cs 0.6538 0.1547 0.7235
4 Cs 0.9105 0.0895 0.0000
5 Si 0.3304 0.4795 0.7804
6 Si 0.4795 0.3304 0.2804
7 Si 0.4874 0.5999 0.5243
8 Si 0.5999 0.4874 0.0243
9 Te 0.1174 0.5729 0.6884
10 Te 0.1350 0.3990 0.4978
11 Te 0.1432 0.1988 0.2802
12 Te 0.1988 0.1432 0.7802
13 Te 0.3990 0.1350 0.9978
14 Te 0.4021 0.6300 0.9615
15 Te 0.5729 0.1174 0.1884
16 Te 0.5841 0.8886 0.4582
17 Te 0.6285 0.6375 0.7080
18 Te 0.6300 0.4021 0.4615
19 Te 0.6375 0.6285 0.2080
20 Te 0.8886 0.5841 0.9582

Principal peaks in the range 2θ = 10–80°, by angle:
2θ (°)  intensity
24.2  73
24.3  45
25.8  62
26.2  38
26.5  57
28.3  100
29.6  18
34.0  23
42.1  26
49.9  19

Entry 7:
This entry pairs a crystal structure of Li2MnBr4 with its theoretical X-ray diffraction stick pattern. Radiation: Cu Kα (weighted mean of Kα1 and Kα2). Structure: the PBE geometry in the Materials Project.
Intensities are scaled so that the largest is 100.

a b c (Å): 7.8514 11.1717 3.9020
angles (deg): 90.00 90.00 90.00
Positions (direct):
1 Li 0.2500 0.2500 0.0000
2 Li 0.2500 0.7500 0.0000
3 Li 0.7500 0.2500 0.0000
4 Li 0.7500 0.7500 0.0000
5 Mn 0.0000 0.0000 0.5000
6 Mn 0.5000 0.5000 0.5000
7 Br 0.0000 0.2420 0.5000
8 Br 0.0000 0.7580 0.5000
9 Br 0.2397 0.0000 0.0000
10 Br 0.2603 0.5000 0.0000
11 Br 0.5000 0.2580 0.5000
12 Br 0.5000 0.7420 0.5000
13 Br 0.7397 0.5000 0.0000
14 Br 0.7603 0.0000 0.0000

Principal peaks in the range 2θ = 10–80°, by angle:
2θ (°)  intensity
13.8  30
27.8  65
27.9  65
32.0  51
32.3  100
46.2  88
54.6  18
54.9  18
55.1  19
76.9  22